Entry 1:
Starting from a structure optimized by DFT (GGA-PBE), the powder diffractogram of Li3PuF6 was calculated for copper Kα.
No peak broadening, texture or thermal motion is included.

Peak list (6 most intense, 2θ from 10° to 90°, by angle)
| two_theta | I_rel | (hkl) |
| --- | --- | --- |
| 15.46 | 100 | 1 1 0 |
| 17.06 | 33 | 0 2 0 |
| 29.33 | 28 | 1 1 1 |
| 38.39 | 31 | 1 3 1 |
| 40.29 | 34 | 3 1 0 |
| 50.85 | 26 | 0 0 2 |

Structure:
```
data_Li3PuF6
_symmetry_space_group_name_H-M 'C m m m'
_symmetry_Int_Tables_number 65
_symmetry_space_group_name_Hall '-C 2 2'
_cell_length_a 6.867
_cell_length_b 10.397
_cell_length_c 3.594
_cell_angle_alpha 90.00
_cell_angle_beta 90.00
_cell_angle_gamma 90.00
loop_
_atom_site_label
_atom_site_fract_x
_atom_site_fract_y
_atom_site_fract_z
_atom_site_occupancy
Li1 0.000 0.000 0.000 1
Li2 0.250 0.250 0.500 1
Pu1 0.000 0.500 0.000 1
F1 0.000 0.349 0.500 1
F2 0.208 0.124 0.000 1
```

***

Entry 2:
Starting from a structure optimized by DFT (GGA-PBE), the powder diffractogram of Li2PuF4 was calculated for copper Kα.
No peak broadening, texture or thermal motion is included.

Peak list (6 most intense, 2θ from 10° to 90°, by angle)
| two_theta | I_rel | (hkl) |
| --- | --- | --- |
| 16.28 | 100 | 0 1 1 |
| 19.24 | 37 | 0 0 2 |
| 31.98 | 23 | 0 1 3 |
| 33.06 | 46 | 2 1 1 |
| 39.32 | 23 | 2 2 0 |
| 43.41 | 21 | 2 1 3 |

Structure:
```
data_Li2PuF4
_symmetry_space_group_name_H-M 'I m m a'
_symmetry_Int_Tables_number 74
_symmetry_space_group_name_Hall '-I 2b 2'
_cell_length_a 6.248
_cell_length_b 6.743
_cell_length_c 9.228
_cell_angle_alpha 90.00
_cell_angle_beta 90.00
_cell_angle_gamma 90.00
loop_
_atom_site_label
_atom_site_fract_x
_atom_site_fract_y
_atom_site_fract_z
_atom_site_occupancy
Li1 0.000 0.000 0.000 1
Li2 0.000 0.250 0.361 1
Pu1 0.250 0.250 0.750 1
F1 0.000 0.031 0.221 1
F2 0.242 0.250 0.005 1
```

***

Entry 3:
Starting from a structure optimized by DFT (GGA-PBE), the powder diffractogram of Li2PuF8 was calculated for copper Kα.
No peak broadening, texture or thermal motion is included.

Peak list (6 most intense, 2θ from 10° to 90°, by angle)
| two_theta | I_rel | (hkl) |
| --- | --- | --- |
| 17.43 | 26 | 0 0 2 |
| 18.97 | 100 | 1 0 1 |
| 23.89 | 22 | 1 1 0 |
| 29.72 | 33 | 1 1 2 |
| 31.36 | 23 | 1 0 3 |
| 39.26 | 27 | 2 1 1 |

Structure:
```
data_Li2PuF8
_symmetry_space_group_name_H-M 'I 4 2 2'
_symmetry_Int_Tables_number 97
_symmetry_space_group_name_Hall 'I 4 2'
_cell_length_a 5.267
_cell_length_b 5.267
_cell_length_c 10.179
_cell_angle_alpha 90.00
_cell_angle_beta 90.00
_cell_angle_gamma 90.00
loop_
_atom_site_label
_atom_site_fract_x
_atom_site_fract_y
_atom_site_fract_z
_atom_site_occupancy
Li1 0.000 0.500 0.250 1
Pu1 0.000 0.000 0.000 1
F1 0.193 0.268 0.879 1
```

***

Entry 4:
Starting from a structure optimized by DFT (GGA-PBE), the powder diffractogram of SrLi2PuF8 was calculated for copper Kα.
No peak broadening, texture or thermal motion is included.

Peak list (6 most intense, 2θ from 10° to 90°, by angle)
| two_theta | I_rel | (hkl) |
| --- | --- | --- |
| 11.11 | 55 | 0 0 1 |
| 16.74 | 100 | 0 1 0 |
| 22.32 | 54 | 0 0 2 |
| 25.21 | 69 | 1 1 0 |
| 28.03 | 64 | 0 1 2 |
| 38.51 | 51 | 1 -1 2 |

Structure:
```
data_SrLi2PuF8
_symmetry_space_group_name_H-M 'P -1'
_symmetry_Int_Tables_number 2
_cell_length_a 4.029
_cell_length_b 5.414
_cell_length_c 7.965
_cell_angle_alpha 89.91
_cell_angle_beta 89.96
_cell_angle_gamma 78.00
loop_
_symmetry_equiv_pos_as_xyz
'x,y,z'
'-x,-y,-z'
loop_
_atom_site_label
_atom_site_fract_x
_atom_site_fract_y
_atom_site_fract_z
_atom_site_occupancy
Sr1 0.000 0.000 0.000 1
Li1 0.499 0.500 0.184 1
Pu1 0.000 0.000 0.500 1
F1 0.138 0.757 0.727 1
F2 0.139 0.757 0.273 1
F3 0.385 0.230 0.500 1
F4 0.409 0.279 0.000 1
```

***

Entry 5:
Starting from a structure optimized by DFT (GGA-PBE), the powder diffractogram of Rb3Li2ScF9 was calculated for copper Kα.
No peak broadening, texture or thermal motion is included.

Peak list (6 most intense, 2θ from 10° to 90°, by angle)
| two_theta | I_rel | (hkl) |
| --- | --- | --- |
| 21.10 | 64 | 1 0 1 |
| 29.72 | 82 | 0 1 2 |
| 30.30 | 74 | 1 1 0 |
| 36.25 | 33 | 0 0 3 |
| 37.22 | 95 | 0 2 1 |
| 42.96 | 100 | 2 0 2 |

Structure:
```
data_Rb3Li2ScF9
_symmetry_space_group_name_H-M 'P -3 m 1'
_symmetry_Int_Tables_number 164
_symmetry_space_group_name_Hall '-P 3 2"'
_cell_length_a 5.8992
_cell_length_b 5.8992
_cell_length_c 7.4347
_cell_angle_alpha 90.00
_cell_angle_beta 90.00
_cell_angle_gamma 120.00
loop_
_atom_site_label
_atom_site_fract_x
_atom_site_fract_y
_atom_site_fract_z
_atom_site_occupancy
Rb1 0.0000 0.0000 0.0000 1
Rb2 0.3333 0.6667 0.6808 1
Li1 0.3333 0.6667 0.1874 1
Sc1 0.0000 0.0000 0.5000 1
F1 0.0000 0.5000 0.0000 1
F2 0.1629 0.3258 0.3409 1
```

***

Entry 6:
Starting from a structure optimized by DFT (GGA-PBE), the powder diffractogram of RbLiSn2F6 was calculated for copper Kα.
No peak broadening, texture or thermal motion is included.

Peak list (6 most intense, 2θ from 10° to 90°, by angle)
| two_theta | I_rel | (hkl) |
| --- | --- | --- |
| 20.40 | 47 | 0 2 1 |
| 24.02 | 100 | 2 2 -1 |
| 25.65 | 68 | 0 0 2 |
| 27.81 | 72 | 3 1 0 |
| 29.93 | 34 | 1 3 1 |
| 44.25 | 34 | 3 1 2 |

Structure:
```
data_RbLiSn2F6
_symmetry_space_group_name_H-M 'C 1 2/c 1'
_symmetry_Int_Tables_number 15
_cell_length_a 10.684
_cell_length_b 11.174
_cell_length_c 7.392
_cell_angle_alpha 90.00
_cell_angle_beta 109.91
_cell_angle_gamma 90.00
loop_
_symmetry_equiv_pos_as_xyz
'x,y,z'
'-x,-y,-z'
'-x,y,-z+1/2'
'x,-y,z+1/2'
'x+1/2,y+1/2,z'
'-x+1/2,-y+1/2,-z'
'-x+1/2,y+1/2,-z+1/2'
'x+1/2,-y+1/2,z+1/2'
loop_
_atom_site_label
_atom_site_fract_x
_atom_site_fract_y
_atom_site_fract_z
_atom_site_occupancy
Rb1 0.000 0.095 0.250 1
Li1 0.000 0.247 0.750 1
Sn1 0.180 0.399 0.235 1
F1 0.109 0.134 0.666 1
F2 0.123 0.334 0.951 1
F3 0.231 0.443 0.634 1
```

***

Entry 7:
Starting from a structure optimized by DFT (GGA-PBE), the powder diffractogram of Rb2LiTeF was calculated for copper Kα.
No peak broadening, texture or thermal motion is included.

Peak list (6 most intense, 2θ from 10° to 90°, by angle)
| two_theta | I_rel | (hkl) |
| --- | --- | --- |
| 15.76 | 27 | 1 0 0 |
| 24.68 | 38 | 1 0 1 |
| 29.42 | 100 | 1 1 1 |
| 31.84 | 53 | 2 0 0 |
| 50.61 | 28 | 2 0 2 |
| 55.24 | 34 | 3 1 1 |

Structure:
```
data_Rb2LiTeF
_symmetry_space_group_name_H-M 'P 4/m m m'
_symmetry_Int_Tables_number 123
_symmetry_space_group_name_Hall '-P 4 2'
_cell_length_a 5.621
_cell_length_b 5.621
_cell_length_c 4.703
_cell_angle_alpha 90.00
_cell_angle_beta 90.00
_cell_angle_gamma 90.00
loop_
_atom_site_label
_atom_site_fract_x
_atom_site_fract_y
_atom_site_fract_z
_atom_site_occupancy
Rb1 0.000 0.500 0.000 1
Li1 0.000 0.000 0.500 1
Te1 0.500 0.500 0.500 1
F1 0.000 0.000 0.000 1
```

***

Entry 8:
Starting from a structure optimized by DFT (GGA-PBE), the powder diffractogram of RbLiTlF5 was calculated for copper Kα.
No peak broadening, texture or thermal motion is included.

Peak list (6 most intense, 2θ from 10° to 90°, by angle)
| two_theta | I_rel | (hkl) |
| --- | --- | --- |
| 15.58 | 99 | 1 1 0 |
| 17.37 | 36 | 0 2 0 |
| 23.18 | 100 | 1 1 -2 |
| 26.01 | 46 | 2 0 0 |
| 29.29 | 94 | 1 3 0 |
| 44.71 | 27 | 2 4 -2 |

Structure:
```
data_RbLiTlF5
_symmetry_space_group_name_H-M 'C 1 2/c 1'
_symmetry_Int_Tables_number 15
_cell_length_a 7.543
_cell_length_b 10.210
_cell_length_c 8.376
_cell_angle_alpha 90.00
_cell_angle_beta 114.73
_cell_angle_gamma 90.00
loop_
_symmetry_equiv_pos_as_xyz
'x,y,z'
'-x,-y,-z'
'-x,y,-z+1/2'
'x,-y,z+1/2'
'x+1/2,y+1/2,z'
'-x+1/2,-y+1/2,-z'
'-x+1/2,y+1/2,-z+1/2'
'x+1/2,-y+1/2,z+1/2'
loop_
_atom_site_label
_atom_site_fract_x
_atom_site_fract_y
_atom_site_fract_z
_atom_site_occupancy
Rb1 0.000 0.161 0.250 1
Li1 0.000 0.193 0.750 1
Tl1 0.000 0.500 0.000 1
F1 0.000 0.427 0.250 1
F2 0.089 0.303 0.609 1
F3 0.199 0.069 0.901 1
```